# 1
This entry pairs a crystal structure of Y2CuAgPb2 with its simulated powder XRD pattern. Radiation: a wavelength of 1.5418 Å. Structure: a cell relaxed with PBE.
Kinematic intensities with the Lorentz-polarization factor, no thermal factor.

Atomic structure:
Cell: 8.2420 4.7432 15.7529 Å, 90.00 99.77 90.00°
Atoms (fractional coordinates):
Y: 0.0000 0.0000 0.0000
Y: 0.0049 0.5000 0.4939
Y: 0.2405 0.0000 0.7402
Y: 0.2474 0.5000 0.2442
Y: 0.4872 0.0000 0.4883
Y: 0.4995 0.5000 0.9998
Y: 0.7455 0.0000 0.2407
Y: 0.7551 0.5000 0.7421
Cu: 0.0614 0.0000 0.1841
Cu: 0.0610 0.5000 0.6792
Cu: 0.3080 0.5000 0.4289
Cu: 0.5595 0.5000 0.1835
Ag: 0.3095 0.0000 0.9319
Ag: 0.5592 0.0000 0.6786
Ag: 0.8095 0.0000 0.4300
Ag: 0.8116 0.5000 0.9328
Pb: 0.1223 0.5000 0.8648
Pb: 0.1262 0.0000 0.3661
Pb: 0.3655 0.5000 0.6143
Pb: 0.3732 0.0000 0.1240
Pb: 0.6144 0.5000 0.3657
Pb: 0.6223 0.0000 0.8686
Pb: 0.8752 0.5000 0.1245
Pb: 0.8792 0.0000 0.6189

Main lines, in order of falling intensity (5° ≤ 2θ ≤ 70°):
37.84°, intensity 100
22.92°, intensity 50
37.93°, intensity 50
26.57°, intensity 35
68.46°, intensity 34
44.79°, intensity 18
26.44°, intensity 18
54.73°, intensity 17
68.26°, intensity 17
46.83°, intensity 15

# 2
This entry pairs a crystal structure of Pr2CuAg with its simulated powder XRD pattern. Radiation: a wavelength of 1.5418 Å. Structure: a cell relaxed with PBE.
Kinematic intensities with the Lorentz-polarization factor, no thermal factor.

Atomic structure:
Cell: 4.7653 5.8475 7.4976 Å, 90.00 90.00 90.00°
Atoms (fractional coordinates):
Pr: 0.0000 0.1081 0.0000
Pr: 0.0000 0.8919 0.5000
Pr: 0.5000 0.3761 0.3596
Pr: 0.5000 0.6239 0.8596
Cu: 0.5000 0.1224 0.7185
Cu: 0.5000 0.8776 0.2185
Ag: 0.0000 0.3835 0.6468
Ag: 0.0000 0.6165 0.1468

Main lines, in order of falling intensity (5° ≤ 2θ ≤ 70°):
34.07°, intensity 100
38.05°, intensity 100
30.34°, intensity 94
32.88°, intensity 74
37.76°, intensity 63
26.91°, intensity 61
50.92°, intensity 43
39.20°, intensity 41
55.56°, intensity 29
63.63°, intensity 29

# 3
This entry pairs a crystal structure of PrCuAg with its simulated powder XRD pattern. Radiation: a wavelength of 1.5418 Å. Structure: a cell relaxed with PBE.
Kinematic intensities with the Lorentz-polarization factor, no thermal factor.

Atomic structure:
Cell: 4.6499 7.8764 7.2267 Å, 90.00 90.00 90.00°
Atoms (fractional coordinates):
Pr: 0.2500 0.2134 0.0000
Pr: 0.2500 0.2866 0.5000
Pr: 0.7500 0.7134 0.5000
Pr: 0.7500 0.7866 0.0000
Cu: 0.2500 0.5697 0.2079
Cu: 0.2500 0.9303 0.7079
Cu: 0.7500 0.0697 0.7079
Cu: 0.7500 0.4303 0.2079
Ag: 0.2500 0.5973 0.7923
Ag: 0.2500 0.9027 0.2923
Ag: 0.7500 0.0973 0.2923
Ag: 0.7500 0.4027 0.7923

Main lines, in order of falling intensity (5° ≤ 2θ ≤ 70°):
33.40°, intensity 100
39.41°, intensity 53
33.66°, intensity 40
38.73°, intensity 36
32.26°, intensity 31
52.23°, intensity 22
39.10°, intensity 14
64.30°, intensity 13
66.73°, intensity 13
65.89°, intensity 11

# 4
This entry pairs a crystal structure of PrCuAg with its simulated powder XRD pattern. Radiation: a wavelength of 1.5418 Å. Structure: a cell relaxed with PBE.
Kinematic intensities with the Lorentz-polarization factor, no thermal factor.

Atomic structure:
Cell: 4.5951 7.2506 7.9247 Å, 90.00 90.00 90.00°
Atoms (fractional coordinates):
Pr: 0.0000 0.0000 0.0000
Pr: 0.0000 0.5000 0.0677
Pr: 0.5000 0.0000 0.5677
Pr: 0.5000 0.5000 0.5000
Cu: 0.0000 0.2948 0.6991
Cu: 0.0000 0.7052 0.6991
Cu: 0.5000 0.2052 0.1991
Cu: 0.5000 0.7948 0.1991
Ag: 0.0000 0.2122 0.3686
Ag: 0.0000 0.7878 0.3686
Ag: 0.5000 0.2878 0.8686
Ag: 0.5000 0.7122 0.8686

Main lines, in order of falling intensity (5° ≤ 2θ ≤ 70°):
33.47°, intensity 100
39.34°, intensity 39
39.21°, intensity 24
52.51°, intensity 17
32.29°, intensity 15
65.66°, intensity 14
22.39°, intensity 10
67.61°, intensity 9
64.06°, intensity 9
38.96°, intensity 9

# 5
This entry pairs a crystal structure of Pr4Cu3Ag with its simulated powder XRD pattern. Radiation: a wavelength of 1.5418 Å. Structure: a cell relaxed with PBE.
Kinematic intensities with the Lorentz-polarization factor, no thermal factor.

Atomic structure:
Cell: 5.7758 4.6756 7.4669 Å, 90.00 90.09 90.00°
Atoms (fractional coordinates):
Pr: 0.0000 0.0000 0.0000
Pr: 0.2232 0.0000 0.4885
Pr: 0.4873 0.5000 0.8625
Pr: 0.7259 0.5000 0.3478
Cu: 0.2363 0.5000 0.2115
Cu: 0.4855 0.0000 0.1413
Cu: 0.9876 0.5000 0.7118
Ag: 0.7288 0.0000 0.6413

Main lines, in order of falling intensity (5° ≤ 2θ ≤ 70°):
38.55°, intensity 100
34.44°, intensity 63
30.64°, intensity 61
33.26°, intensity 50
27.29°, intensity 45
51.78°, intensity 29
39.42°, intensity 28
56.28°, intensity 19
52.85°, intensity 15
66.06°, intensity 14

# 6
This entry pairs a crystal structure of Pr2CuAgSn2 with its simulated powder XRD pattern. Radiation: a wavelength of 1.5418 Å. Structure: a cell relaxed with PBE.
Kinematic intensities with the Lorentz-polarization factor, no thermal factor.

Atomic structure:
Cell: 4.7315 4.7315 7.7091 Å, 90.00 90.00 120.00°
Atoms (fractional coordinates):
Pr: 0.0000 0.0000 0.0000
Pr: 0.0000 0.0000 0.4923
Cu: 0.6667 0.3333 0.2979
Ag: 0.3333 0.6667 0.7950
Sn: 0.3333 0.6667 0.2276
Sn: 0.6667 0.3333 0.7149

Main lines, in order of falling intensity (5° ≤ 2θ ≤ 70°):
31.87°, intensity 100
38.04°, intensity 69
50.44°, intensity 28
64.88°, intensity 26
62.12°, intensity 19
41.48°, intensity 13
68.72°, intensity 12
24.60°, intensity 9
47.16°, intensity 7
64.58°, intensity 7

# 7
This entry pairs a crystal structure of CuAg3S2 with its simulated powder XRD pattern. Radiation: a wavelength of 1.5418 Å. Structure: a cell relaxed with PBE.
Kinematic intensities with the Lorentz-polarization factor, no thermal factor.

Atomic structure:
Cell: 8.5189 8.5189 8.5189 Å, 116.77 116.77 95.70°
Atoms (fractional coordinates):
Cu: 0.2208 0.9708 0.2500
Cu: 0.4708 0.7208 0.7500
Cu: 0.5292 0.2792 0.2500
Cu: 0.7792 0.0292 0.7500
Ag: 0.0000 0.0000 0.5000
Ag: 0.0000 0.5000 0.0000
Ag: 0.0000 0.5000 0.5000
Ag: 0.1052 0.9517 0.8752
Ag: 0.2700 0.3948 0.3465
Ag: 0.4235 0.7700 0.3752
Ag: 0.4517 0.0765 0.8465
Ag: 0.5000 0.5000 0.0000
Ag: 0.5483 0.9235 0.1535
Ag: 0.5765 0.2300 0.6248
Ag: 0.7300 0.6052 0.6535
Ag: 0.8948 0.0483 0.1248
S: 0.1991 0.7241 0.9880
S: 0.2241 0.7361 0.5250
S: 0.2361 0.2110 0.5120
S: 0.2890 0.3009 0.0250
S: 0.7110 0.6991 0.9750
S: 0.7639 0.7890 0.4880
S: 0.7759 0.2639 0.4750
S: 0.8009 0.2759 0.0120

Main lines, in order of falling intensity (5° ≤ 2θ ≤ 70°):
32.47°, intensity 100
37.14°, intensity 99
35.45°, intensity 69
31.04°, intensity 47
43.56°, intensity 40
45.72°, intensity 38
40.39°, intensity 35
25.31°, intensity 32
34.44°, intensity 29
40.73°, intensity 28

# 8
This entry pairs a crystal structure of Cu6Ag6Sb4Te12S with its simulated powder XRD pattern. Radiation: a wavelength of 1.5418 Å. Structure: a cell relaxed with PBE.
Kinematic intensities with the Lorentz-polarization factor, no thermal factor.

Atomic structure:
Cell: 10.2407 10.2407 10.2407 Å, 109.47 109.47 109.47°
Atoms (fractional coordinates):
Cu: 0.2500 0.5000 0.7500
Cu: 0.2500 0.7500 0.5000
Cu: 0.5000 0.2500 0.7500
Cu: 0.5000 0.7500 0.2500
Cu: 0.7500 0.2500 0.5000
Cu: 0.7500 0.5000 0.2500
Ag: 0.0000 0.2131 0.2131
Ag: 0.0000 0.7869 0.7869
Ag: 0.2131 0.0000 0.2131
Ag: 0.2131 0.2131 0.0000
Ag: 0.7869 0.0000 0.7869
Ag: 0.7869 0.7869 0.0000
Sb: 0.0000 0.0000 0.5572
Sb: 0.0000 0.5572 0.0000
Sb: 0.4428 0.4428 0.4428
Sb: 0.5572 0.0000 0.0000
Te: 0.0000 0.2501 0.4937
Te: 0.0000 0.4937 0.2501
Te: 0.2436 0.7499 0.7499
Te: 0.2501 0.0000 0.4937
Te: 0.2501 0.4937 0.0000
Te: 0.4937 0.0000 0.2501
Te: 0.4937 0.2501 0.0000
Te: 0.5063 0.5063 0.7564
Te: 0.5063 0.7564 0.5063
Te: 0.7499 0.2436 0.7499
Te: 0.7499 0.7499 0.2436
Te: 0.7564 0.5063 0.5063
S: 0.0000 0.0000 0.0000

Main lines, in order of falling intensity (5° ≤ 2θ ≤ 70°):
26.10°, intensity 100
43.28°, intensity 66
51.25°, intensity 34
38.83°, intensity 19
28.24°, intensity 17
32.11°, intensity 14
69.27°, intensity 14
47.39°, intensity 9
62.87°, intensity 8
41.84°, intensity 7